No. 1
The following is a simulated PXRD pattern of NiS2O12. It was derived from a cell relaxed with PBE+U, using λ = 1.5418 Å (Cu Kα).
No peak broadening, texture or thermal motion is included.

The 6 most intense peaks (15 to 90 degrees two-theta), in order of rising 2θ:
- 15.80°, intensity 35, hkl 0 1 -1
- 16.65°, intensity 21, hkl 1 0 -1
- 19.78°, intensity 100, hkl 1 1 0
- 23.78°, intensity 18, hkl 0 0 2
- 26.61°, intensity 16, hkl 1 1 -2
- 29.73°, intensity 25, hkl 1 -2 0

Structure:
```
NiS2O12
1.0
6.466 0.000 0.000
-0.086 6.800 0.000
-1.289 -1.668 7.485
Ni S O
1 2 12
Cartesian
0.000 0.000 0.000
0.760 3.369 3.343
4.331 1.763 4.141
-0.285 -0.148 1.686
-0.572 2.530 6.788
1.035 4.490 2.472
1.665 6.087 0.145
0.490 3.095 7.202
1.502 3.245 4.584
3.588 1.887 2.900
4.600 2.037 0.283
3.426 -0.955 7.339
4.055 0.642 5.013
5.662 2.602 0.697
5.375 5.280 5.799
```

No. 2
The following is a simulated PXRD pattern of Na3VIO13. It was derived from a cell relaxed with PBE+U, using λ = 1.5418 Å (Cu Kα).
No peak broadening, texture or thermal motion is included.

The 6 most intense peaks (15 to 90 degrees two-theta), in order of rising 2θ:
- 16.26°, intensity 100, hkl 1 0 1
- 17.76°, intensity 94, hkl 1 -1 0
- 17.89°, intensity 65, hkl 1 1 1
- 22.84°, intensity 53, hkl -1 1 2
- 29.07°, intensity 60, hkl 0 2 3
- 35.09°, intensity 69, hkl 2 2 0

Structure:
```
Na3VIO13
1.0
6.435 0.000 0.000
0.245 8.537 0.000
0.201 3.071 10.085
Na V I O
6 2 2 26
Cartesian
0.790 1.343 1.545
0.898 3.403 4.473
2.102 6.333 6.980
4.778 5.275 3.104
5.982 8.205 5.611
6.090 10.265 8.540
3.015 8.340 4.561
3.865 3.268 5.523
2.587 9.690 7.334
4.293 1.918 2.751
0.258 6.685 1.056
1.134 8.547 7.577
1.152 5.284 2.501
1.379 7.205 0.976
1.555 7.525 4.616
1.556 2.522 8.256
2.242 10.175 5.545
2.221 5.852 2.287
2.217 3.010 0.643
2.679 4.397 5.926
2.849 9.413 2.941
3.406 8.858 9.322
3.312 3.404 3.606
3.568 8.204 6.479
3.474 2.750 0.763
4.031 2.195 7.143
4.201 7.211 4.159
4.663 8.598 9.441
4.659 5.756 7.797
4.638 1.433 4.540
5.324 9.086 1.828
5.325 4.083 5.468
5.501 4.403 9.108
5.728 6.324 7.583
5.746 3.061 2.507
6.622 4.923 9.028
```

No. 3
The following is a simulated PXRD pattern of Mn2PO5. It was derived from a cell relaxed with PBE+U, using λ = 1.5418 Å (Cu Kα).
No peak broadening, texture or thermal motion is included.

The 6 most intense peaks (15 to 90 degrees two-theta), in order of rising 2θ:
- 27.96°, intensity 33, hkl 1 0 -2
- 31.37°, intensity 40, hkl 2 0 -2
- 31.66°, intensity 65, hkl 3 0 0
- 32.56°, intensity 28, hkl 1 0 2
- 34.08°, intensity 100, hkl 1 2 1
- 51.11°, intensity 32, hkl 1 2 -3

Structure:
```
Mn2PO5
1.0
8.706 0.000 0.000
0.000 6.429 0.000
-1.461 0.000 6.283
Mn P O
8 4 20
Cartesian
-0.244 0.944 1.385
-0.975 2.271 4.527
2.993 0.761 0.062
2.262 2.454 3.203
4.983 3.975 3.080
4.252 5.668 6.221
8.220 4.158 1.756
7.489 5.485 4.898
2.525 3.785 0.036
1.794 5.858 3.178
5.451 0.571 3.106
4.720 2.643 6.247
-0.445 0.698 5.524
0.285 2.516 2.382
1.035 4.267 0.223
0.304 5.376 3.365
1.720 0.236 1.825
0.989 2.978 4.966
2.193 0.474 4.240
2.924 2.740 1.098
2.714 4.636 3.109
1.984 5.007 6.251
5.261 1.422 0.033
4.531 1.793 3.174
4.321 3.689 5.185
5.051 5.954 2.043
6.255 3.450 1.317
5.525 6.193 4.458
6.941 1.053 2.918
6.210 2.161 6.060
6.960 3.913 3.901
7.690 5.731 0.759
```

What did the second record say?
The following is a simulated PXRD pattern of Na3VIO13. It was derived from a cell relaxed with PBE+U, using λ = 1.5418 Å (Cu Kα).
No peak broadening, texture or thermal motion is included.

The 6 most intense peaks (15 to 90 degrees two-theta), in order of rising 2θ:
- 16.26°, intensity 100, hkl 1 0 1
- 17.76°, intensity 94, hkl 1 -1 0
- 17.89°, intensity 65, hkl 1 1 1
- 22.84°, intensity 53, hkl -1 1 2
- 29.07°, intensity 60, hkl 0 2 3
- 35.09°, intensity 69, hkl 2 2 0

Structure:
```
Na3VIO13
1.0
6.435 0.000 0.000
0.245 8.537 0.000
0.201 3.071 10.085
Na V I O
6 2 2 26
Cartesian
0.790 1.343 1.545
0.898 3.403 4.473
2.102 6.333 6.980
4.778 5.275 3.104
5.982 8.205 5.611
6.090 10.265 8.540
3.015 8.340 4.561
3.865 3.268 5.523
2.587 9.690 7.334
4.293 1.918 2.751
0.258 6.685 1.056
1.134 8.547 7.577
1.152 5.284 2.501
1.379 7.205 0.976
1.555 7.525 4.616
1.556 2.522 8.256
2.242 10.175 5.545
2.221 5.852 2.287
2.217 3.010 0.643
2.679 4.397 5.926
2.849 9.413 2.941
3.406 8.858 9.322
3.312 3.404 3.606
3.568 8.204 6.479
3.474 2.750 0.763
4.031 2.195 7.143
4.201 7.211 4.159
4.663 8.598 9.441
4.659 5.756 7.797
4.638 1.433 4.540
5.324 9.086 1.828
5.325 4.083 5.468
5.501 4.403 9.108
5.728 6.324 7.583
5.746 3.061 2.507
6.622 4.923 9.028
```